(1)
Simulated powder XRD pattern
Compound: Rb3WF6
Radiation: λ = 1.5418 Å (Cu Kα)
Structure: DFT lattice parameters and positions (GGA+U)
Lines closer than 0.1° are merged.

Largest 10 diffraction maxima, by angle, 15 to 90 degrees two-theta:
- d 5.434, rel. 29, (1 0 1)
- d 3.347, rel. 100, (1 1 2)
- d 3.289, rel. 61, (2 0 0)
- d 2.410, rel. 20, (0 0 4)
- d 2.326, rel. 29, (2 2 0)
- d 1.944, rel. 26, (2 0 4)
- d 1.910, rel. 50, (3 1 2)
- d 1.674, rel. 20, (2 2 4)
- d 1.272, rel. 14, (3 1 6)
- d 1.256, rel. 16, (4 2 4)

Structural model:
```
data_Rb3WF6
_chemical_formula_sum 'Rb6 W2 F12'
_space_group_name_H-M_alt 'P 4/m n c'
_space_group_IT_number 128
_space_group_name_Hall '-P 4 2n'
_cell_length_a 6.578
_cell_length_b 6.578
_cell_length_c 9.642
_cell_angle_alpha 90.00
_cell_angle_beta 90.00
_cell_angle_gamma 90.00
loop_
_atom_site_label
_atom_site_type_symbol
_atom_site_fract_x
_atom_site_fract_y
_atom_site_fract_z
_atom_site_occupancy
Rb1 Rb 0.000 0.000 0.000 1
Rb2 Rb 0.000 0.500 0.250 1
W1 W 0.000 0.000 0.500 1
F1 F 0.000 0.000 0.279 1
F2 F 0.138 0.292 0.500 1
```


(2)
Simulated powder XRD pattern
Compound: SmMn2O4
Radiation: λ = 1.5418 Å (Cu Kα)
Structure: DFT lattice parameters and positions (GGA+U)
Lines closer than 0.1° are merged.

Largest 10 diffraction maxima, by angle, 15 to 90 degrees two-theta:
- d 4.621, rel. 61, (2 0 1)
- d 2.974, rel. 49, (1 1 1)
- d 2.825, rel. 100, (2 0 3)
- d 2.649, rel. 53, (1 1 2)
- d 2.599, rel. 31, (4 0 0)
- d 2.312, rel. 76, (3 1 1)
- d 2.149, rel. 37, (3 1 2)
- d 1.656, rel. 25, (5 1 2)
- d 1.539, rel. 38, (6 0 3)
- d 1.412, rel. 27, (4 0 6)

Structural model:
```
data_SmMn2O4
_chemical_formula_sum 'Sm4 Mn8 O16'
_space_group_name_H-M_alt 'P c a 21'
_space_group_IT_number 29
_space_group_name_Hall 'P 2c -2ac'
_cell_length_a 10.396
_cell_length_b 3.261
_cell_length_c 10.094
_cell_angle_alpha 90.00
_cell_angle_beta 90.00
_cell_angle_gamma 90.00
loop_
_atom_site_label
_atom_site_type_symbol
_atom_site_fract_x
_atom_site_fract_y
_atom_site_fract_z
_atom_site_occupancy
Sm1 Sm 0.141 0.199 0.000 1
Mn1 Mn 0.117 0.691 0.314 1
Mn2 Mn 0.120 0.724 0.680 1
O1 O 0.022 0.681 0.129 1
O2 O 0.042 0.726 0.856 1
O3 O 0.198 0.705 0.503 1
O4 O 0.249 0.161 0.739 1
```